Structure and simulated powder XRD pattern of BaLa14Y (DFT lattice parameters and positions (GGA-PBE); copper Kα).
Peak positions follow from Bragg's law for the DFT cell and can differ from measured ones.

Atomic structure:
```
data_BaLa14Y
_chemical_formula_sum 'Ba2 La28 Y2'
_cell_length_a 12.168
_cell_length_b 7.567
_cell_length_c 13.116
_cell_angle_alpha 90.00
_cell_angle_beta 90.00
_cell_angle_gamma 90.00
_symmetry_space_group_name_H-M 'A m m 2'
_symmetry_Int_Tables_number 38
_symmetry_space_group_name_Hall 'A 2 -2'
loop_
_atom_site_label
_atom_site_fract_x
_atom_site_fract_y
_atom_site_fract_z
Ba1 0.000 0.000 0.000
La1 0.000 0.249 0.751
La2 0.244 0.000 0.332
La3 0.254 0.243 0.586
La4 0.255 0.000 0.828
La5 0.500 0.000 0.495
La6 0.500 0.000 0.998
La7 0.500 0.246 0.250
Y1 0.000 0.000 0.500
```

Main lines, by angle (15° ≤ 2θ ≤ 90°):
index, two_theta, I (rel.)
0 0 4, 27.2, 23
4 0 0, 29.4, 26
2 2 2, 31.0, 100
4 0 4, 40.5, 16
0 4 0, 48.1, 19
6 2 2, 53.1, 21
4 4 0, 57.3, 23
2 4 4, 58.3, 16
2 6 2, 78.8, 13
8 4 0, 81.1, 8